Record 1
For PuH2Rh, a crystal structure in Alexandria, relaxed with GGA-PBE gives the theoretical powder X-ray diffraction pattern in this record (Cu Kα (weighted mean of Kα1 and Kα2)).
No peak broadening, texture or thermal motion is included.

Cell and atoms:
a b c (Å): 5.090 5.090 6.227
angles (deg): 90.00 90.00 120.00
Fractional coordinates of all 12 atoms:
1 Pu 0.000 0.656 0.167
2 Pu 0.344 0.344 0.500
3 Pu 0.656 0.000 0.833
4 H 0.151 0.494 0.832
5 H 0.342 0.849 0.498
6 H 0.494 0.151 0.168
7 H 0.506 0.658 0.165
8 H 0.658 0.506 0.835
9 H 0.849 0.342 0.502
10 Rh 0.000 0.709 0.667
11 Rh 0.291 0.291 0.000
12 Rh 0.709 0.000 0.333

Most intense lines, 5° ≤ 2θ ≤ 70°, sorted by position:
| 2theta | I/Imax |
| --- | --- |
| 24.75 | 18.3 |
| 35.28 | 100.0 |
| 38.20 | 1.3 |
| 43.57 | 7.2 |
| 50.75 | 17.8 |
| 57.25 | 10.1 |
| 63.32 | 35.2 |
| 65.24 | 0.8 |

***

Record 2
For Pu2H10Rh3, a crystal structure in Alexandria, relaxed with GGA-PBE gives the theoretical powder X-ray diffraction pattern in this record (Cu Kα (weighted mean of Kα1 and Kα2)).
No peak broadening, texture or thermal motion is included.

Cell and atoms:
a b c (Å): 5.339 7.089 8.308
angles (deg): 68.04 71.32 89.95
Fractional coordinates of all 30 atoms:
1 Pu 0.105 0.223 0.289
2 Pu 0.204 0.800 0.093
3 Pu 0.796 0.200 0.907
4 Pu 0.895 0.777 0.711
5 H 0.000 0.500 0.000
6 H 0.030 0.677 0.441
7 H 0.091 0.995 0.822
8 H 0.130 0.488 0.724
9 H 0.259 0.211 0.980
10 H 0.294 0.000 0.500
11 H 0.354 0.511 0.276
12 H 0.365 0.753 0.769
13 H 0.413 0.005 0.178
14 H 0.467 0.307 0.568
15 H 0.500 0.500 0.000
16 H 0.533 0.693 0.432
17 H 0.587 0.995 0.822
18 H 0.635 0.247 0.231
19 H 0.646 0.489 0.724
20 H 0.706 0.000 0.500
21 H 0.741 0.789 0.020
22 H 0.870 0.512 0.276
23 H 0.909 0.005 0.178
24 H 0.970 0.323 0.559
25 Rh 0.253 0.499 0.500
26 Rh 0.316 0.480 0.868
27 Rh 0.414 0.027 0.671
28 Rh 0.586 0.973 0.329
29 Rh 0.684 0.520 0.132
30 Rh 0.747 0.501 0.500

Most intense lines, 5° ≤ 2θ ≤ 70°, sorted by position:
| 2theta | I/Imax |
| --- | --- |
| 24.63 | 26.3 |
| 30.63 | 73.1 |
| 31.26 | 100.0 |
| 31.86 | 93.5 |
| 32.72 | 34.1 |
| 33.57 | 47.3 |
| 34.19 | 68.1 |
| 41.05 | 22.0 |
| 43.81 | 23.3 |
| 48.67 | 26.1 |
| 50.45 | 27.4 |
| 63.04 | 21.6 |

***

Record 3
For PuH8Rh3, a crystal structure in Alexandria, relaxed with GGA-PBE gives the theoretical powder X-ray diffraction pattern in this record (Cu Kα (weighted mean of Kα1 and Kα2)).
No peak broadening, texture or thermal motion is included.

Cell and atoms:
a b c (Å): 4.548 4.566 5.851
angles (deg): 89.73 89.94 60.15
Fractional coordinates of all 12 atoms:
1 Pu 0.000 0.000 0.000
2 H 0.063 0.636 0.336
3 H 0.304 0.060 0.333
4 H 0.332 0.333 0.941
5 H 0.364 0.698 0.666
6 H 0.636 0.302 0.334
7 H 0.668 0.667 0.059
8 H 0.696 0.940 0.667
9 H 0.937 0.364 0.664
10 Rh 0.000 0.000 0.500
11 Rh 0.333 0.334 0.660
12 Rh 0.667 0.666 0.340

Most intense lines, 5° ≤ 2θ ≤ 70°, sorted by position:
| 2theta | I/Imax |
| --- | --- |
| 22.51 | 89.1 |
| 27.13 | 40.5 |
| 27.30 | 80.4 |
| 30.56 | 16.0 |
| 38.23 | 50.4 |
| 38.32 | 100.0 |
| 39.46 | 80.3 |
| 39.63 | 39.7 |
| 48.66 | 25.7 |
| 50.84 | 16.8 |
| 56.32 | 28.5 |
| 62.78 | 15.7 |

***

Record 4
For PuH6Rh2, a crystal structure in Alexandria, relaxed with GGA-PBE gives the theoretical powder X-ray diffraction pattern in this record (Cu Kα (weighted mean of Kα1 and Kα2)).
No peak broadening, texture or thermal motion is included.

Cell and atoms:
a b c (Å): 4.730 4.730 4.108
angles (deg): 90.00 90.00 120.00
Fractional coordinates of all 9 atoms:
1 Pu 0.000 0.000 0.000
2 H 0.000 0.500 0.224
3 H 0.000 0.500 0.776
4 H 0.500 0.000 0.224
5 H 0.500 0.000 0.776
6 H 0.500 0.500 0.224
7 H 0.500 0.500 0.776
8 Rh 0.333 0.667 0.500
9 Rh 0.667 0.333 0.500

Most intense lines, 5° ≤ 2θ ≤ 70°, sorted by position:
| 2theta | I/Imax |
| --- | --- |
| 21.69 | 15.0 |
| 30.83 | 100.0 |
| 38.05 | 48.7 |
| 44.09 | 10.7 |
| 44.22 | 3.1 |
| 49.73 | 31.2 |
| 59.62 | 26.9 |
| 59.72 | 2.4 |
| 64.29 | 26.9 |
| 68.75 | 8.7 |

***

Record 5
For Pu2HRh, a crystal structure in Alexandria, relaxed with GGA-PBE gives the theoretical powder X-ray diffraction pattern in this record (Cu Kα (weighted mean of Kα1 and Kα2)).
No peak broadening, texture or thermal motion is included.

Cell and atoms:
a b c (Å): 3.368 5.353 7.007
angles (deg): 90.36 97.64 90.03
Fractional coordinates of all 8 atoms:
1 Pu 0.060 0.278 0.176
2 Pu 0.157 0.788 0.493
3 Pu 0.843 0.212 0.507
4 Pu 0.940 0.722 0.824
5 H 0.398 0.448 0.685
6 H 0.602 0.552 0.315
7 Rh 0.466 0.189 0.852
8 Rh 0.534 0.811 0.148

Most intense lines, 5° ≤ 2θ ≤ 70°, sorted by position:
| 2theta | I/Imax |
| --- | --- |
| 21.02 | 31.6 |
| 26.70 | 38.6 |
| 33.48 | 95.4 |
| 35.49 | 65.4 |
| 35.61 | 100.0 |
| 38.63 | 80.9 |
| 38.75 | 59.5 |
| 38.91 | 79.8 |
| 43.31 | 29.7 |
| 52.07 | 24.4 |
| 52.43 | 29.5 |
| 61.30 | 29.0 |

***

Record 6
For PuH11Rh5, a crystal structure in Alexandria, relaxed with GGA-PBE gives the theoretical powder X-ray diffraction pattern in this record (Cu Kα (weighted mean of Kα1 and Kα2)).
No peak broadening, texture or thermal motion is included.

Cell and atoms:
a b c (Å): 5.674 5.674 6.083
angles (deg): 94.48 94.48 125.02
Fractional coordinates of all 17 atoms:
1 Pu 0.000 0.000 0.000
2 H 0.000 0.000 0.500
3 H 0.132 0.724 0.663
4 H 0.182 0.492 0.900
5 H 0.276 0.868 0.337
6 H 0.466 0.466 0.681
7 H 0.492 0.182 0.900
8 H 0.508 0.818 0.100
9 H 0.534 0.534 0.319
10 H 0.724 0.132 0.663
11 H 0.818 0.508 0.100
12 H 0.868 0.276 0.337
13 Rh 0.111 0.392 0.626
14 Rh 0.392 0.111 0.626
15 Rh 0.500 0.500 0.000
16 Rh 0.608 0.889 0.374
17 Rh 0.889 0.608 0.374

Most intense lines, 5° ≤ 2θ ≤ 70°, sorted by position:
| 2theta | I/Imax |
| --- | --- |
| 17.62 | 38.7 |
| 23.07 | 100.0 |
| 26.15 | 48.2 |
| 33.13 | 40.6 |
| 33.93 | 37.7 |
| 34.83 | 27.0 |
| 35.46 | 44.7 |
| 38.81 | 62.4 |
| 39.22 | 29.1 |
| 40.31 | 29.0 |
| 46.25 | 25.5 |
| 50.66 | 42.3 |

***

Record 7
For PuHRh, a crystal structure in Alexandria, relaxed with GGA-PBE gives the theoretical powder X-ray diffraction pattern in this record (Cu Kα (weighted mean of Kα1 and Kα2)).
No peak broadening, texture or thermal motion is included.

Cell and atoms:
a b c (Å): 3.630 3.630 3.941
angles (deg): 90.00 90.00 120.00
Fractional coordinates of all 3 atoms:
1 Pu 0.000 0.000 0.000
2 H 0.333 0.667 0.500
3 Rh 0.667 0.333 0.500

Most intense lines, 5° ≤ 2θ ≤ 70°, sorted by position:
| 2theta | I/Imax |
| --- | --- |
| 22.56 | 9.3 |
| 28.39 | 42.9 |
| 36.57 | 100.0 |
| 46.06 | 11.2 |
| 50.27 | 26.1 |
| 55.00 | 14.4 |
| 55.77 | 5.7 |
| 58.75 | 5.9 |
| 63.75 | 20.2 |

***

Record 8
For Pu4HRh4, a crystal structure in Alexandria, relaxed with GGA-PBE gives the theoretical powder X-ray diffraction pattern in this record (Cu Kα (weighted mean of Kα1 and Kα2)).
No peak broadening, texture or thermal motion is included.

Cell and atoms:
a b c (Å): 5.637 7.157 8.827
angles (deg): 91.43 90.62 108.34
Fractional coordinates of all 18 atoms:
1 Pu 0.035 0.279 0.453
2 Pu 0.039 0.773 0.966
3 Pu 0.430 0.993 0.294
4 Pu 0.436 0.510 0.793
5 Pu 0.564 0.490 0.207
6 Pu 0.570 0.007 0.706
7 Pu 0.961 0.227 0.034
8 Pu 0.965 0.721 0.547
9 H 0.106 0.106 0.238
10 H 0.894 0.894 0.762
11 Rh 0.100 0.570 0.232
12 Rh 0.128 0.104 0.715
13 Rh 0.453 0.186 0.986
14 Rh 0.455 0.688 0.493
15 Rh 0.545 0.312 0.507
16 Rh 0.547 0.814 0.014
17 Rh 0.872 0.896 0.285
18 Rh 0.900 0.430 0.768

Most intense lines, 5° ≤ 2θ ≤ 70°, sorted by position:
| 2theta | I/Imax |
| --- | --- |
| 26.29 | 25.8 |
| 26.44 | 27.3 |
| 32.81 | 100.0 |
| 33.40 | 43.3 |
| 33.51 | 57.1 |
| 33.79 | 71.0 |
| 35.39 | 25.2 |
| 35.50 | 30.0 |
| 40.89 | 44.2 |
| 41.15 | 54.3 |
| 50.29 | 25.7 |
| 54.08 | 33.0 |